This entry pairs a crystal structure of Li2NiIO4 with its theoretical powder X-ray diffraction pattern. Radiation: Cu Kα X-rays. Structure: a DFT-relaxed cell (GGA+U, Alexandria).
No peak broadening, texture or thermal motion is included.

The 10 most intense peaks (2θ = 10–90°), in order of rising 2θ:
- 22.2°, rel. 100
- 35.0°, rel. 30
- 37.2°, rel. 24
- 39.9°, rel. 41
- 42.2°, rel. 17
- 46.1°, rel. 28
- 55.7°, rel. 14
- 57.7°, rel. 12
- 59.5°, rel. 22
- 74.0°, rel. 11

Cell lengths 6.3900, 6.3947, 5.3406 Å; angles 90.00, 126.68, 90.00 degrees
Space group C2 (No. 5)
Inequivalent atoms, fractional coordinates:
Li (0.0000, 0.0000, 0.0000) x2
Li (0.0000, 0.2498, 0.5000) x2
Ni (0.0000, 0.7504, 0.5000) x2
I (0.0000, 0.5004, 0.0000) x2
O (0.2402, 0.7502, 0.9811) x4
O (0.2466, 0.5010, 0.4916) x4